Record 1
The following is a theoretical PXRD pattern of Tb5Ga2H. It was derived from a crystal structure in Alexandria, relaxed with GGA-PBE, using Cu Kα X-rays.

Peak list (12 most intense, 2θ = 10–90°, by intensity)
d (Å)	two_theta	I/Imax
2.667	33.60	100
2.414	37.25	38
1.438	64.85	30
1.600	57.61	21
5.335	16.62	16
2.136	42.30	13
1.707	53.69	13
1.334	70.63	12
3.414	26.10	11
1.315	71.81	11
4.273	20.79	10
2.876	31.10	7

Crystal structure
Unit cell a=6.8283 b=6.8283 c=8.5458 alpha=90.00 beta=90.00 gamma=90.00
Space group I4mm (No. 107)
One atom of each set of equivalent atoms:
1 Tb 0.0000 0.0000 0.0000 (multiplicity 2)
2 Tb 0.2487 0.2487 0.7442 (multiplicity 8)
3 Ga 0.0000 0.5000 0.4972 (multiplicity 4)
4 H 0.0000 0.0000 0.2601 (multiplicity 2)

Record 2
The following is a theoretical PXRD pattern of Ga2TcH5. It was derived from a crystal structure in Alexandria, relaxed with GGA-PBE, using Cu Kα X-rays.

Peak list (12 most intense, 2θ = 10–90°, by intensity)
d (Å)	two_theta	I/Imax
2.122	42.61	100
4.625	19.19	76
2.312	38.95	62
1.908	47.65	50
2.949	30.30	47
2.865	31.22	40
3.540	25.16	40
1.531	60.46	25
2.227	40.50	23
1.328	70.97	20
2.201	41.00	18
1.957	46.41	18

Crystal structure
Unit cell a=3.2444 b=6.1081 c=7.0797 alpha=90.00 beta=90.00 gamma=90.00
Space group Imm2 (No. 44)
One atom of each set of equivalent atoms:
1 Ga 0.0000 0.2278 0.0000 (multiplicity 4)
2 Tc 0.0000 0.0000 0.6633 (multiplicity 2)
3 H 0.0000 0.0000 0.1500 (multiplicity 2)
4 H 0.0000 0.0000 0.4234 (multiplicity 2)
5 H 0.0000 0.2696 0.7383 (multiplicity 4)
6 H 0.0000 0.5000 0.2890 (multiplicity 2)

Record 3
The following is a theoretical PXRD pattern of Ga3TcH. It was derived from a crystal structure in Alexandria, relaxed with GGA-PBE, using Cu Kα X-rays.

Peak list (12 most intense, 2θ = 10–90°, by intensity)
d (Å)	two_theta	I/Imax
2.505	35.85	100
2.612	34.33	43
2.042	44.36	43
2.170	41.63	39
4.475	19.84	36
2.109	42.88	34
1.564	59.05	31
2.155	41.93	31
1.827	49.92	28
1.823	50.02	27
4.340	20.46	22
3.213	27.76	21

Crystal structure
Unit cell a=5.1584 b=5.1651 c=6.7888 alpha=101.30 beta=101.40 gamma=114.22
Space group P-1 (No. 2)
One atom of each set of equivalent atoms:
1 Ga 0.0985 0.0992 0.2084 (multiplicity 2)
2 Ga 0.2418 0.6177 0.7957 (multiplicity 2)
3 Ga 0.3815 0.7589 0.2037 (multiplicity 2)
4 Tc 0.1448 0.8554 0.5000 (multiplicity 2)
5 H 0.3676 0.3688 0.1272 (multiplicity 2)

Record 4
The following is a theoretical PXRD pattern of GaTcH6. It was derived from a crystal structure in Alexandria, relaxed with GGA-PBE, using Cu Kα X-rays.

Peak list (12 most intense, 2θ = 10–90°, by intensity)
d (Å)	two_theta	I/Imax
5.002	17.73	100
2.810	31.85	47
2.501	35.91	15
2.283	39.47	12
2.206	40.92	11
2.195	41.13	11
2.141	42.21	10
2.135	42.34	10
2.086	43.38	10
2.068	43.77	10
1.836	49.67	7
1.824	50.01	7

Crystal structure
Unit cell a=3.1055 b=4.8039 c=5.2359 alpha=85.33 beta=72.83 gamma=71.92
Space group P-1 (No. 2)
One atom of each set of equivalent atoms:
1 Ga 0.0000 0.0000 0.0000 (multiplicity 1)
2 Tc 0.5000 0.5000 0.0000 (multiplicity 1)
3 H 0.0983 0.4979 0.8045 (multiplicity 2)
4 H 0.2393 0.7519 0.2659 (multiplicity 2)
5 H 0.4929 0.2544 0.2657 (multiplicity 2)

Record 5
The following is a theoretical PXRD pattern of ThGaTc2H8. It was derived from a crystal structure in Alexandria, relaxed with GGA-PBE, using Cu Kα X-rays.

Peak list (12 most intense, 2θ = 10–90°, by intensity)
d (Å)	two_theta	I/Imax
2.917	30.64	100
2.289	39.36	44
2.575	34.84	28
3.776	23.56	28
1.755	52.12	21
2.196	41.11	20
2.684	33.39	17
1.416	65.99	13
1.604	57.44	13
3.896	22.82	13
1.145	84.66	9
1.699	53.95	9

Crystal structure
Unit cell a=8.0519 b=4.3915 c=6.3568 alpha=90.00 beta=113.22 gamma=90.00
Space group C2/m (No. 12)
One atom of each set of equivalent atoms:
1 Th 0.0000 0.0000 0.0000 (multiplicity 2)
2 Ga 0.0000 0.5000 0.5000 (multiplicity 2)
3 Tc 0.2054 0.0000 0.6310 (multiplicity 4)
4 H 0.0782 0.5000 0.1589 (multiplicity 4)
5 H 0.1858 0.2535 0.8278 (multiplicity 8)
6 H 0.2089 0.0000 0.3671 (multiplicity 4)

Record 6
The following is a theoretical PXRD pattern of Ti3GaH. It was derived from a crystal structure in Alexandria, relaxed with GGA-PBE, using Cu Kα X-rays.

Peak list (12 most intense, 2θ = 10–90°, by intensity)
d (Å)	two_theta	I/Imax
2.344	38.40	100
2.335	38.56	99
2.078	43.55	70
1.415	66.02	36
1.932	47.03	28
1.242	76.72	23
1.246	76.41	22
1.180	81.60	19
1.474	63.07	10
1.465	63.50	10
1.172	82.26	9
1.167	82.66	9

Crystal structure
Unit cell a=5.8597 b=11.7925 c=3.8646 alpha=90.00 beta=90.00 gamma=90.00
Space group Cmmm (No. 65)
One atom of each set of equivalent atoms:
1 Ti 0.0000 0.1242 0.0000 (multiplicity 4)
2 Ti 0.2360 0.5000 0.5000 (multiplicity 4)
3 Ti 0.2500 0.2500 0.5000 (multiplicity 4)
4 Ga 0.0000 0.3694 0.0000 (multiplicity 4)
5 H 0.0000 0.1280 0.5000 (multiplicity 4)